Record 1
The following is a theoretical powder X-ray diffraction pattern of GdDyF6. It was derived from a DFT-relaxed cell (PBE, OQMD), using copper Kα.
Neutral-atom scattering factors, no anomalous dispersion.

Top 10 peaks for 10° ≤ 2θ ≤ 90°, sorted by position:
- d = 4.912 Å, I 93, (1 0 0)
- d = 2.883 Å, I 100, (1 0 1)
- d = 2.836 Å, I 61, (1 1 0)
- d = 2.456 Å, I 15, (2 0 0)
- d = 2.022 Å, I 65, (2 0 1)
- d = 1.646 Å, I 56, (2 1 1)
- d = 1.637 Å, I 21, (3 0 0)
- d = 1.508 Å, I 19, (1 1 2)
- d = 1.272 Å, I 17, (1 3 1)
- d = 1.205 Å, I 15, (3 0 2)

Crystal structure
a b c (Å): 5.6718 5.6718 3.5606
angles (deg): 90.00 90.00 120.00
Space group P-6 (No. 174)
Unique sites:
Gd: 0.0000 0.0000 0.0000
Dy: 0.6667 0.3333 0.5000
F: 0.0295 0.7518 0.5000
F: 0.4236 0.0576 0.0000

Record 2
The following is a theoretical powder X-ray diffraction pattern of Dy2OF2. It was derived from a DFT-relaxed cell (PBE, OQMD), using copper Kα.
Neutral-atom scattering factors, no anomalous dispersion.

Top 10 peaks for 10° ≤ 2θ ≤ 90°, sorted by position:
- d = 3.126 Å, I 100, (1 1 1)
- d = 2.713 Å, I 23, (2 0 0)
- d = 2.697 Å, I 12, (0 0 2)
- d = 1.918 Å, I 16, (2 2 0)
- d = 1.912 Å, I 33, (2 0 2)
- d = 1.635 Å, I 28, (3 1 1)
- d = 1.628 Å, I 15, (1 1 3)
- d = 1.563 Å, I 9, (2 2 2)
- d = 1.241 Å, I 11, (3 1 3)
- d = 1.106 Å, I 10, (4 2 2)

Crystal structure
a b c (Å): 5.425 5.425 5.393
angles (deg): 90.00 90.00 90.00
Space group P4_2/mcm (No. 132)
Unique sites:
Dy: 0.235 0.235 0.000
O: 0.000 0.000 0.250
F: 0.000 0.500 0.250

Record 3
The following is a theoretical powder X-ray diffraction pattern of Dy3Se4O12F. It was derived from a DFT-relaxed cell (PBE, OQMD), using copper Kα.
Neutral-atom scattering factors, no anomalous dispersion.

Top 10 peaks for 10° ≤ 2θ ≤ 90°, sorted by position:
- d = 4.445 Å, I 45, (2 0 0)
- d = 3.714 Å, I 97, (2 0 1)
- d = 3.158 Å, I 51, (1 0 2)
- d = 3.009 Å, I 100, (2 1 1)
- d = 2.714 Å, I 70, (3 0 1)
- d = 2.690 Å, I 93, (2 0 2)
- d = 2.566 Å, I 65, (2 2 0)
- d = 1.952 Å, I 50, (3 2 1)
- d = 1.871 Å, I 47, (2 1 3)
- d = 1.746 Å, I 44, (3 2 2)

Crystal structure
a b c (Å): 10.2649 10.2649 6.7578
angles (deg): 90.00 90.00 120.00
Space group P6_3mc (No. 186)
Unique sites:
Dy: 0.0755 0.5377 0.0000
Se: 0.1512 0.3024 0.7684
Se: 0.3333 0.6667 0.4437
O: 0.0795 0.4141 0.6965
O: 0.1607 0.5803 0.3256
O: 0.1786 0.3571 0.0125
F: 0.3333 0.6667 0.9497

Record 4
The following is a theoretical powder X-ray diffraction pattern of DyPtF7. It was derived from a DFT-relaxed cell (PBE, OQMD), using copper Kα.
Neutral-atom scattering factors, no anomalous dispersion.

Top 10 peaks for 10° ≤ 2θ ≤ 90°, sorted by position:
- d = 3.839 Å, I 100, (1 1 -2)
- d = 3.780 Å, I 45, (2 0 0)
- d = 3.214 Å, I 14, (2 1 -2)
- d = 3.062 Å, I 13, (2 1 0)
- d = 2.950 Å, I 36, (1 1 2)
- d = 2.897 Å, I 14, (1 0 -4)
- d = 2.610 Å, I 19, (0 2 0)
- d = 1.940 Å, I 19, (3 0 2)
- d = 1.825 Å, I 18, (2 1 -6)
- d = 1.646 Å, I 13, (4 1 -6)

Crystal structure
a b c (Å): 8.521 5.220 11.691
angles (deg): 90.00 117.47 90.00
Space group P2_1/c (No. 14)
Unique sites:
Dy: 0.187 0.231 0.260
Pt: 0.272 0.740 0.041
F: 0.015 0.734 0.456
F: 0.040 0.622 0.727
F: 0.243 0.091 0.457
F: 0.265 0.570 0.186
F: 0.299 0.581 0.405
F: 0.308 0.059 0.137
F: 0.474 0.178 0.375

Record 5
The following is a theoretical powder X-ray diffraction pattern of DyYS2F2. It was derived from a DFT-relaxed cell (PBE, OQMD), using copper Kα.
Neutral-atom scattering factors, no anomalous dispersion.

Top 10 peaks for 10° ≤ 2θ ≤ 90°, sorted by position:
- d = 6.793 Å, I 19, (0 0 1)
- d = 3.396 Å, I 34, (0 0 2)
- d = 3.284 Å, I 100, (1 0 1)
- d = 2.653 Å, I 57, (1 1 0)
- d = 2.518 Å, I 27, (1 0 2)
- d = 2.091 Å, I 64, (1 1 2)
- d = 1.939 Å, I 40, (1 0 3)
- d = 1.876 Å, I 32, (2 0 0)
- d = 1.629 Å, I 27, (2 1 1)
- d = 1.348 Å, I 24, (2 1 3)

Crystal structure
a b c (Å): 3.751 3.751 6.793
angles (deg): 90.00 90.00 90.00
Space group P4mm (No. 99)
Unique sites:
Dy: 0.000 0.000 0.000
Y: 0.500 0.500 0.542
S: 0.000 0.000 0.414
S: 0.500 0.500 0.129
F: 0.000 0.500 0.773

Record 6
The following is a theoretical powder X-ray diffraction pattern of DySeF. It was derived from a DFT-relaxed cell (PBE, OQMD), using copper Kα.
Neutral-atom scattering factors, no anomalous dispersion.

Top 10 peaks for 10° ≤ 2θ ≤ 90°, sorted by position:
- d = 4.398 Å, I 39, (0 0 6)
- d = 3.396 Å, I 100, (0 1 2)
- d = 3.102 Å, I 17, (1 0 4)
- d = 2.927 Å, I 27, (0 0 9)
- d = 2.405 Å, I 56, (0 1 8)
- d = 2.110 Å, I 48, (1 0 10)
- d = 2.029 Å, I 57, (1 1 0)
- d = 1.842 Å, I 21, (1 1 6)
- d = 1.492 Å, I 22, (1 1 12)
- d = 1.188 Å, I 18, (1 1 18)

Crystal structure
a b c (Å): 4.0580 4.0580 26.3871
angles (deg): 90.00 90.00 120.00
Space group R-3m (No. 166, hexagonal axes)
Unique sites:
Dy: 0.0000 0.0000 0.0000
Dy: 0.0000 0.0000 0.5000
Se: 0.0000 0.0000 0.1073
F: 0.0000 0.0000 0.3324